PaBe17Fe: calculated X-ray diffraction stick pattern (Cu Ka), based on a cell relaxed with PBE.
Peak positions follow from Bragg's law for the DFT cell and can differ from measured ones.

abc: 5.690 5.690 5.690
angles: 83.24 83.24 83.24
Positions (direct):
Pa (0.000, 0.000, 0.000)
Be (0.003, 0.003, 0.496)
Be (0.003, 0.496, 0.003)
Be (0.152, 0.663, 0.663)
Be (0.317, 0.317, 0.792)
Be (0.317, 0.792, 0.317)
Be (0.369, 0.647, 0.951)
Be (0.369, 0.951, 0.647)
Be (0.496, 0.003, 0.003)
Be (0.555, 0.555, 0.555)
Be (0.647, 0.369, 0.951)
Be (0.647, 0.951, 0.369)
Be (0.663, 0.152, 0.663)
Be (0.663, 0.663, 0.152)
Be (0.750, 0.750, 0.750)
Be (0.792, 0.317, 0.317)
Be (0.951, 0.369, 0.647)
Be (0.951, 0.647, 0.369)
Fe (0.333, 0.333, 0.333)

Most intense lines, 2θ = 10–90°, in order of rising 2θ:
- 15.77 deg, I 100
- 21.15 deg, I 58
- 23.54 deg, I 79
- 24.38 deg, I 25
- 28.46 deg, I 30
- 34.14 deg, I 74
- 37.26 deg, I 30
- 39.98 deg, I 25
- 41.38 deg, I 26
- 48.61 deg, I 36